For Sn4Sb3Te, a crystal structure in Alexandria, relaxed with PBE gives the simulated powder diffractogram in this record (Cu Ka).
Intensities are scaled so that the largest is 100.

Principal peaks in the range 15 to 90 degrees two-theta, sorted by position:
28.69°, intensity 100, (2 0 1); 41.02°, intensity 77, (0 0 2); 50.82°, intensity 27, (0 4 2); 59.32°, intensity 4, (0 8 0); 59.44°, intensity 9, (4 0 2); 67.26°, intensity 30, (4 4 2); 67.37°, intensity 6, (2 0 3); 74.68°, intensity 18, (0 8 2); 74.79°, intensity 9, (2 4 3); 88.93°, intensity 7, (4 8 2)

Structure:
```
Sn4Sb3Te
1.0
8.8025 0.0000 0.0000
0.0000 12.4640 0.0000
0.0000 0.0000 4.3947
Sn Sb Te
8 6 2
Direct
0.0000 0.2461 0.0000
0.0000 0.7539 0.0000
0.2416 0.0000 0.5000
0.2584 0.5000 0.5000
0.5000 0.2539 0.0000
0.5000 0.7461 0.0000
0.7416 0.5000 0.5000
0.7584 0.0000 0.5000
0.0000 0.0000 0.0000
0.2500 0.2500 0.5000
0.2500 0.7500 0.5000
0.5000 0.5000 0.0000
0.7500 0.2500 0.5000
0.7500 0.7500 0.5000
0.0000 0.5000 0.0000
0.5000 0.0000 0.0000
```